Nb4PdRh3: simulated powder X-ray diffraction pattern (a wavelength of 1.5418 Å), based on a structure optimized by DFT (GGA-PBE).

Most intense lines, 2θ from 5° to 70°, most intense first:
(hkl)	d/Å	I (rel.)
0 2 0	2.259	100.0
3 1 -1	2.299	40.8
9 1 0	2.144	33.3
10 0 0	2.193	21.1
7 1 0	2.575	20.1
7 1 -1	1.933	17.9
10 2 0	1.574	14.6
6 0 -1	2.277	12.8
7 1 1	1.875	10.8
6 0 0	3.653	9.9

Crystal structure
```
data_Nb4PdRh3
_symmetry_space_group_name_H-M 'C 1 2/m 1'
_symmetry_Int_Tables_number 12
_cell_length_a 21.9354
_cell_length_b 4.5225
_cell_length_c 2.8282
_cell_angle_alpha 90.00
_cell_angle_beta 92.13
_cell_angle_gamma 90.00
loop_
_symmetry_equiv_pos_as_xyz
'x,y,z'
'-x,-y,-z'
'-x,y,-z'
'x,-y,z'
'x+1/2,y+1/2,z'
'-x+1/2,-y+1/2,-z'
'-x+1/2,y+1/2,-z'
'x+1/2,-y+1/2,z'
loop_
_atom_site_label
_atom_site_type_symbol
_atom_site_fract_x
_atom_site_fract_y
_atom_site_fract_z
Nb1 Nb 0.1014 0.0000 0.0351
Nb2 Nb 0.1714 0.5000 0.5057
Pd1 Pd 0.0000 0.5000 0.0000
Rh1 Rh 0.0000 0.0000 0.5000
Rh2 Rh 0.2153 0.0000 0.9836
```